The following is a simulated X-ray powder pattern of Pm12TeRh6. It was derived from a cell relaxed with PBE, using Cu Ka.
Kinematic intensities with the Lorentz-polarization factor, no thermal factor.

abc: 8.8284 8.8284 8.8284
angles: 109.47 109.47 109.47
Fractional coordinates of all 19 atoms:
Pm 0.1202 0.8127 0.3075
Pm 0.1873 0.3075 0.4948
Pm 0.1873 0.6925 0.8798
Pm 0.3075 0.1202 0.8127
Pm 0.3075 0.4948 0.1873
Pm 0.4948 0.1873 0.3075
Pm 0.5052 0.8127 0.6925
Pm 0.6925 0.5052 0.8127
Pm 0.6925 0.8798 0.1873
Pm 0.8127 0.3075 0.1202
Pm 0.8127 0.6925 0.5052
Pm 0.8798 0.1873 0.6925
Te 0.0000 0.0000 0.0000
Rh 0.1329 0.6329 0.5000
Rh 0.3671 0.5000 0.8671
Rh 0.5000 0.1329 0.6329
Rh 0.5000 0.8671 0.3671
Rh 0.6329 0.5000 0.1329
Rh 0.8671 0.3671 0.5000

The 12 most intense peaks (2θ = 10–90°), sorted by position:
2theta, I_rel
27.67, 17.8
30.37, 23.4
32.87, 100.0
35.22, 12.0
37.43, 10.4
45.36, 25.3
52.33, 20.4
53.97, 15.1
55.57, 29.3
64.65, 15.3
79.84, 13.8
81.16, 16.2